No. 1
The following is a calculated powder diffractogram of Tl3PbCl5. It was derived from a structure optimized by DFT (PBE), using Cu Kα (weighted mean of Kα1 and Kα2).
Kinematic intensities with the Lorentz-polarization factor, no thermal factor.

The 10 most intense peaks (5° ≤ 2θ ≤ 70°), by intensity:
| (hkl) | Position (°2θ) | I_rel |
| --- | --- | --- |
| 2 1 3 | 29.6 | 100 |
| 2 1 1 | 24.3 | 100 |
| 1 1 3 | 23.0 | 92 |
| 0 2 2 | 23.4 | 86 |
| 0 0 4 | 23.6 | 73 |
| 1 1 5 | 33.2 | 72 |
| 1 2 0 | 22.8 | 69 |
| 3 3 0 | 44.7 | 61 |
| 3 0 2 | 34.2 | 53 |
| 1 3 1 | 32.9 | 45 |

Crystal structure
Cell: 8.388 8.802 15.060 Å, 90.00 90.00 90.00°
Space group P2_12_12_1 (No. 19)
Symmetry-distinct sites (fractional):
Tl: 0.067 0.082 0.215
Tl: 0.093 0.167 0.519
Tl: 0.231 0.704 0.450
Pb: 0.077 0.546 0.706
Cl: 0.072 0.997 0.975
Cl: 0.085 0.851 0.636
Cl: 0.108 0.446 0.112
Cl: 0.215 0.211 0.727
Cl: 0.239 0.345 0.348

---

No. 2
The following is a calculated powder diffractogram of SrBeNiMo. It was derived from a structure optimized by DFT (PBE), using Cu Kα (weighted mean of Kα1 and Kα2).
Kinematic intensities with the Lorentz-polarization factor, no thermal factor.

The 10 most intense peaks (5° ≤ 2θ ≤ 70°), by intensity:
| (hkl) | Position (°2θ) | I_rel |
| --- | --- | --- |
| 1 0 2 | 29.0 | 100 |
| 0 1 3 | 34.1 | 90 |
| 1 1 1 | 36.4 | 73 |
| 1 1 5 | 53.1 | 38 |
| 2 1 3 | 62.4 | 30 |
| 1 1 3 | 42.5 | 28 |
| 1 2 2 | 60.5 | 24 |
| 2 0 0 | 50.5 | 19 |
| 0 2 0 | 51.8 | 17 |
| 0 0 4 | 30.3 | 17 |

Crystal structure
Cell: 3.615 3.528 11.809 Å, 90.00 90.00 90.00°
Space group Amm2 (No. 38)
Symmetry-distinct sites (fractional):
Sr: 0.000 0.000 0.000
Be: 0.000 0.000 0.247
Ni: 0.500 0.000 0.359
Mo: 0.500 0.000 0.722

---

No. 3
The following is a calculated powder diffractogram of RbNb4O6. It was derived from a structure optimized by DFT (PBE), using Cu Kα (weighted mean of Kα1 and Kα2).
Kinematic intensities with the Lorentz-polarization factor, no thermal factor.

The 10 most intense peaks (5° ≤ 2θ ≤ 70°), by intensity:
| (hkl) | Position (°2θ) | I_rel |
| --- | --- | --- |
| 1 0 2 | 30.0 | 100 |
| 1 1 1 | 31.9 | 89 |
| 2 0 0 | 42.9 | 75 |
| 2 0 4 | 62.4 | 45 |
| 2 1 2 | 53.3 | 38 |
| 0 0 4 | 43.1 | 37 |
| 0 0 1 | 10.5 | 36 |
| 1 1 3 | 44.4 | 32 |
| 1 1 2 | 37.0 | 28 |
| 2 2 0 | 62.3 | 23 |

Crystal structure
Cell: 4.215 4.215 8.398 Å, 90.00 90.00 90.00°
Space group P4/mmm (No. 123)
Symmetry-distinct sites (fractional):
Rb: 0.000 0.000 0.000
Nb: 0.000 0.500 0.500
Nb: 0.500 0.500 0.243
O: 0.000 0.000 0.500
O: 0.000 0.500 0.249
O: 0.500 0.500 0.000

---

No. 4
The following is a calculated powder diffractogram of CePmZnHg. It was derived from a structure optimized by DFT (PBE), using Cu Kα (weighted mean of Kα1 and Kα2).
Kinematic intensities with the Lorentz-polarization factor, no thermal factor.

The 10 most intense peaks (5° ≤ 2θ ≤ 70°), by intensity:
| (hkl) | Position (°2θ) | I_rel |
| --- | --- | --- |
| 1 0 2 | 33.8 | 100 |
| 1 1 0 | 34.3 | 49 |
| 2 1 2 | 61.1 | 36 |
| 2 0 0 | 49.3 | 18 |
| 1 1 4 | 60.2 | 18 |
| 1 0 1 | 26.8 | 15 |
| 0 0 4 | 47.9 | 9 |
| 0 0 1 | 11.6 | 9 |
| 1 1 3 | 50.1 | 5 |
| 2 1 1 | 57.0 | 4 |

Crystal structure
Cell: 3.699 3.699 7.600 Å, 90.00 90.00 90.00°
Space group P4mm (No. 99)
Symmetry-distinct sites (fractional):
Ce: 0.000 0.000 0.000
Pm: 0.000 0.000 0.465
Zn: 0.500 0.500 0.235
Hg: 0.500 0.500 0.728

---

No. 5
The following is a calculated powder diffractogram of BaErIO6. It was derived from a structure optimized by DFT (PBE), using Cu Kα (weighted mean of Kα1 and Kα2).
Kinematic intensities with the Lorentz-polarization factor, no thermal factor.

The 10 most intense peaks (5° ≤ 2θ ≤ 70°), by intensity:
| (hkl) | Position (°2θ) | I_rel |
| --- | --- | --- |
| 1 0 1 | 24.1 | 100 |
| 1 1 0 | 31.7 | 56 |
| 2 -1 2 | 45.5 | 46 |
| 3 -1 1 | 52.2 | 35 |
| 2 0 1 | 40.3 | 23 |
| 0 0 1 | 15.7 | 22 |
| 0 0 4 | 66.3 | 19 |
| 3 0 0 | 56.5 | 13 |
| 2 -1 1 | 35.6 | 12 |
| 2 0 3 | 62.4 | 8 |

Crystal structure
Cell: 5.6387 5.6387 5.6360 Å, 90.00 90.00 120.00°
Space group P312 (No. 149)
Symmetry-distinct sites (fractional):
Ba: 0.0000 0.0000 0.0000
Er: 0.3333 0.6667 0.5000
I: 0.6667 0.3333 0.5000
O: 0.4011 0.0443 0.6945

---

No. 6
The following is a calculated powder diffractogram of KRb2H6Pd. It was derived from a structure optimized by DFT (PBE), using Cu Kα (weighted mean of Kα1 and Kα2).
Kinematic intensities with the Lorentz-polarization factor, no thermal factor.

The 10 most intense peaks (5° ≤ 2θ ≤ 70°), by intensity:
| (hkl) | Position (°2θ) | I_rel |
| --- | --- | --- |
| 1 1 0 | 29.6 | 100 |
| 0 1 2 | 31.4 | 85 |
| 0 0 1 | 13.0 | 68 |
| 0 1 1 | 21.4 | 66 |
| 1 1 1 | 32.4 | 41 |
| 1 2 2 | 53.6 | 35 |
| 2 0 2 | 43.6 | 35 |
| 3 0 0 | 52.4 | 19 |
| 1 0 0 | 16.9 | 19 |
| 2 0 1 | 36.8 | 18 |

Crystal structure
Cell: 6.0452 6.0452 6.8055 Å, 90.00 90.00 120.00°
Space group P-3m1 (No. 164)
Symmetry-distinct sites (fractional):
K: 0.0000 0.0000 0.0000
Rb: 0.3333 0.6667 0.6530
H: 0.1296 0.2592 0.3564
Pd: 0.0000 0.0000 0.5000

---

No. 7
The following is a calculated powder diffractogram of LiMg3Cd3Pd2. It was derived from a structure optimized by DFT (PBE), using Cu Kα (weighted mean of Kα1 and Kα2).
Kinematic intensities with the Lorentz-polarization factor, no thermal factor.

The 10 most intense peaks (5° ≤ 2θ ≤ 70°), by intensity:
| (hkl) | Position (°2θ) | I_rel |
| --- | --- | --- |
| 3 0 0 | 39.2 | 100 |
| 1 1 1 | 37.4 | 93 |
| 1 1 0 | 22.3 | 70 |
| 3 0 1 | 49.9 | 60 |
| 0 0 1 | 29.5 | 55 |
| 2 1 0 | 34.4 | 52 |
| 2 0 1 | 39.7 | 35 |
| 2 1 1 | 46.0 | 33 |
| 3 2 1 | 66.8 | 29 |
| 2 0 0 | 25.9 | 25 |

Crystal structure
Cell: 7.9570 7.9570 3.0235 Å, 90.00 90.00 120.00°
Space group P-62m (No. 189)
Symmetry-distinct sites (fractional):
Li: 0.0000 0.0000 0.0000
Mg: 0.0000 0.3850 0.0000
Cd: 0.0000 0.7105 0.5000
Pd: 0.3333 0.6667 0.5000